The following is a theoretical XRD peak list of Mn3CuPd3. It was derived from the PBE geometry in Alexandria, using Cu Kα.
No peak broadening, texture or thermal motion is included.

Most intense lines, 10° ≤ 2θ ≤ 80°, low angle first:
- d = 6.205 Å, rel. 15.9, (1 1 0)
- d = 4.412 Å, rel. 8.7, (0 2 0)
- d = 2.763 Å, rel. 8.4, (3 1 0)
- d = 2.613 Å, rel. 12.2, (1 1 2)
- d = 2.206 Å, rel. 29.7, (0 4 0)
- d = 2.182 Å, rel. 24.5, (4 0 0)
- d = 2.111 Å, rel. 100.0, (2 2 2)
- d = 1.551 Å, rel. 15.5, (4 4 0)
- d = 1.255 Å, rel. 16.1, (2 6 2)
- d = 1.246 Å, rel. 12.6, (6 2 2)

Atomic structure:
abc: 8.728 8.824 5.763
angles: 90.00 90.00 90.00
Space group Cmmm (No. 65)
One atom of each set of equivalent atoms:
Mn: 0.000 0.240 0.000 (multiplicity 4)
Mn: 0.192 0.000 0.500 (multiplicity 4)
Mn: 0.247 0.000 0.000 (multiplicity 4)
Cu: 0.000 0.234 0.500 (multiplicity 4)
Pd: 0.000 0.500 0.261 (multiplicity 4)
Pd: 0.250 0.250 0.254 (multiplicity 8)

***

The following is a theoretical XRD peak list of PmMnCu. It was derived from the PBE geometry in Alexandria, using Cu Kα.
No peak broadening, texture or thermal motion is included.

Most intense lines, 10° ≤ 2θ ≤ 80°, low angle first:
- d = 2.738 Å, rel. 30.9, (0 2 0)
- d = 2.697 Å, rel. 100.0, (1 1 2)
- d = 2.654 Å, rel. 19.8, (2 0 0)
- d = 2.319 Å, rel. 77.3, (1 2 1)
- d = 2.308 Å, rel. 45.0, (0 1 3)
- d = 2.295 Å, rel. 37.2, (1 0 3)
- d = 2.279 Å, rel. 86.1, (2 1 1)
- d = 2.225 Å, rel. 20.7, (0 2 2)
- d = 1.476 Å, rel. 21.0, (2 3 1)
- d = 1.349 Å, rel. 37.4, (2 2 4)

Atomic structure:
abc: 5.307 5.477 7.635
angles: 90.00 90.00 90.00
Space group Imma (No. 74)
One atom of each set of equivalent atoms:
Pm: 0.000 0.250 0.125 (multiplicity 4)
Mn: 0.000 0.000 0.500 (multiplicity 4)
Cu: 0.250 0.250 0.750 (multiplicity 4)